(1)
Diffraction record for Y4GaAg. The PXRD pattern is simulated, not measured: it uses a cell relaxed with GGA-PBE and Cu Ka.
Intensities are scaled so that the largest is 1000.

Principal peaks in the range 2θ from 5° to 70°, in order of falling intensity:
28.3°, I 1000, (1 0 2); 27.7°, I 601, (2 1 0); 35.9°, I 393, (2 0 2); 42.5°, I 333, (1 3 1); 48.2°, I 315, (2 3 1); 41.7°, I 270, (1 1 -3)

Atomic structure:
Lattice parameters (Å, degrees): 7.2397 7.0399 7.1194 90.00 91.85 90.00
Space group P2_1/c (No. 14)
Asymmetric unit:
1 Y 0.1564 0.1535 0.3517 [4 per cell]
2 Y 0.3379 0.6630 0.3289 [4 per cell]
3 Ga 0.5000 0.0000 0.5000 [2 per cell]
4 Ag 0.0000 0.0000 0.0000 [2 per cell]

***

(2)
Diffraction record for YGa3Ag3. The PXRD pattern is simulated, not measured: it uses a cell relaxed with GGA-PBE and Cu Ka.
Intensities are scaled so that the largest is 1000.

Principal peaks in the range 2θ from 5° to 70°, in order of falling intensity:
38.2°, I 1000, (2 1 1); 35.4°, I 710, (1 1 -3); 41.7°, I 695, (0 2 0); 35.7°, I 348, (0 1 3); 9.5°, I 187, (0 0 1); 43.2°, I 181, (1 1 -4)

Atomic structure:
Lattice parameters (Å, degrees): 6.6439 4.3317 9.6154 90.00 105.32 90.00
Space group P2_1/m (No. 11)
Asymmetric unit:
1 Y 0.2380 0.2500 0.1116 [2 per cell]
2 Ga 0.2214 0.7500 0.8955 [2 per cell]
3 Ga 0.4060 0.7500 0.3862 [2 per cell]
4 Ga 0.4361 0.2500 0.8416 [2 per cell]
5 Ag 0.0113 0.2500 0.7409 [2 per cell]
6 Ag 0.1423 0.2500 0.4530 [2 per cell]
7 Ag 0.3240 0.7500 0.6444 [2 per cell]